This entry pairs a crystal structure of Ac2Dy3Y with its simulated X-ray powder pattern. Radiation: λ = 1.5418 Å (Cu Kα). Structure: a PBE-relaxed structure.
Intensities are scaled so that the largest is 100.

Cell and atoms:
Unit cell a=16.1703 b=7.5888 c=7.5094 alpha=90.00 beta=103.45 gamma=90.00
Space group C2/c (No. 15)
Inequivalent atoms, fractional coordinates:
Ac1 0.1834 0.0010 0.0924
Dy1 0.0000 0.2129 0.2500
Dy2 0.1138 0.5004 0.0566
Y1 0.0000 0.2091 0.7500

Largest 12 diffraction maxima, by intensity, 5 to 70 degrees two-theta:
(4 0 -2), 2θ 29.3, intensity 100.0; (2 2 -2), 2θ 34.1, intensity 78.1; (5 1 0), 2θ 30.8, intensity 66.1; (1 1 2), 2θ 28.9, intensity 46.4; (2 2 0), 2θ 26.1, intensity 41.8; (0 2 0), 2θ 23.4, intensity 34.9; (4 2 0), 2θ 32.8, intensity 34.6; (7 1 2), 2θ 54.0, intensity 30.2; (4 4 -2), 2θ 57.2, intensity 23.6; (3 1 4), 2θ 58.5, intensity 21.9; (4 2 -2), 2θ 37.8, intensity 19.7; (7 3 -2), 2θ 56.2, intensity 19.7